Structure and computed powder XRD pattern of UHg3 (a DFT-relaxed cell (PBE, the Materials Project); Cu Kα (λ = 1.5418 Å)).

Peak list (10 most intense, 2θ from 15° to 90°, most intense first)
h k l, d/Å, 2theta, I_rel
1 0 2, 2.453, 36.63, 100
0 0 4, 2.717, 32.97, 29
1 0 6, 1.512, 61.29, 23
1 0 0, 2.749, 32.57, 23
1 1 4, 1.371, 68.45, 22
1 1 0, 1.587, 58.11, 18
1 0 4, 1.933, 47.02, 17
2 0 2, 1.333, 70.68, 15
2 0 6, 1.095, 89.50, 9
2 0 4, 1.227, 77.88, 4

Structural model:
abc: 3.1748 3.1748 10.8670
angles: 90.00 90.00 120.00
Space group P-6m2 (No. 187)
Symmetry-distinct sites (fractional):
U (0.0000, 0.0000, 0.0000) (multiplicity 1)
Hg (0.0000, 0.0000, 0.5000) (multiplicity 1)
Hg (0.6667, 0.3333, 0.2523) (multiplicity 2)

***

Structure and computed powder XRD pattern of RbWCl6 (a DFT-relaxed cell (PBE, the Materials Project); Cu Kα (λ = 1.5418 Å)).

Peak list (10 most intense, 2θ from 15° to 90°, most intense first)
h k l, d/Å, 2theta, I_rel
1 1 1, 4.942, 17.95, 100
1 1 -1, 5.331, 16.63, 59
2 0 -2, 4.777, 18.58, 52
1 1 -3, 3.452, 25.81, 39
2 0 2, 3.867, 23.00, 32
2 2 -1, 2.816, 31.77, 30
3 1 -1, 3.417, 26.07, 30
1 1 -4, 2.787, 32.12, 25
3 1 2, 2.752, 32.53, 24
3 1 -5, 2.159, 41.84, 23

Structural model:
abc: 12.198 6.425 12.387
angles: 90.00 102.02 90.00
Space group C2/c (No. 15)
Symmetry-distinct sites (fractional):
Rb (0.000, 0.119, 0.250) (multiplicity 4)
W (0.250, 0.250, 0.000) (multiplicity 4)
Cl (0.081, 0.382, 0.897) (multiplicity 8)
Cl (0.156, 0.049, 0.540) (multiplicity 8)
Cl (0.214, 0.415, 0.159) (multiplicity 8)

***

Structure and computed powder XRD pattern of PrBiRh (a DFT-relaxed cell (PBE, the Materials Project); Cu Kα (λ = 1.5418 Å)).

Peak list (10 most intense, 2θ from 15° to 90°, most intense first)
h k l, d/Å, 2theta, I_rel
2 1 1, 2.800, 31.96, 100
0 1 3, 2.339, 38.49, 75
0 2 0, 2.444, 36.78, 55
1 1 2, 2.863, 31.24, 50
2 0 2, 2.746, 32.61, 39
3 0 1, 2.403, 37.43, 37
3 1 4, 1.491, 62.29, 32
3 2 1, 1.713, 53.48, 28
2 2 2, 1.825, 49.96, 24
5 1 2, 1.358, 69.17, 19

Structural model:
abc: 7.558 4.888 7.991
angles: 90.00 90.00 90.00
Space group Pnma (No. 62)
Symmetry-distinct sites (fractional):
Pr (0.015, 0.250, 0.203) (multiplicity 4)
Bi (0.189, 0.250, 0.592) (multiplicity 4)
Rh (0.204, 0.750, 0.428) (multiplicity 4)

***

Please write out number 1 again, unchanged.
Structure and computed powder XRD pattern of UHg3 (a DFT-relaxed cell (PBE, the Materials Project); Cu Kα (λ = 1.5418 Å)).

Peak list (10 most intense, 2θ from 15° to 90°, most intense first)
h k l, d/Å, 2theta, I_rel
1 0 2, 2.453, 36.63, 100
0 0 4, 2.717, 32.97, 29
1 0 6, 1.512, 61.29, 23
1 0 0, 2.749, 32.57, 23
1 1 4, 1.371, 68.45, 22
1 1 0, 1.587, 58.11, 18
1 0 4, 1.933, 47.02, 17
2 0 2, 1.333, 70.68, 15
2 0 6, 1.095, 89.50, 9
2 0 4, 1.227, 77.88, 4

Structural model:
abc: 3.1748 3.1748 10.8670
angles: 90.00 90.00 120.00
Space group P-6m2 (No. 187)
Symmetry-distinct sites (fractional):
U (0.0000, 0.0000, 0.0000) (multiplicity 1)
Hg (0.0000, 0.0000, 0.5000) (multiplicity 1)
Hg (0.6667, 0.3333, 0.2523) (multiplicity 2)